Calculated PXRD pattern
Compound: Sr2DyMoO6
Radiation: Cu Ka
Structure: a structure optimized by DFT (PBE+U)

```
Sr2DyMoO6
1.0
5.8402 0.0000 0.0000
0.0000 5.8853 0.0000
-5.7618 0.0000 8.3583
Sr Dy Mo O
4 2 2 12
Direct
0.2447 0.0346 0.2480
0.2447 0.4654 0.7480
0.7553 0.5346 0.2520
0.7553 0.9654 0.7520
0.5000 0.0000 0.0000
0.5000 0.5000 0.5000
0.0000 0.0000 0.5000
0.0000 0.5000 0.0000
0.1538 0.2184 0.9596
0.1538 0.2816 0.4596
0.2366 0.6896 0.9646
0.2366 0.8104 0.4646
0.3119 0.0170 0.7369
0.3119 0.4830 0.2369
0.6881 0.5170 0.7631
0.6881 0.9830 0.2631
0.7634 0.1896 0.5354
0.7634 0.3104 0.0354
0.8462 0.7184 0.5404
0.8462 0.7816 0.0404
```

Main lines, by angle (10° ≤ 2θ ≤ 90°):
- (1 1 1), 2θ = 30.3°, rel. 67.7
- (1 1 -3), 2θ = 30.4°, rel. 100.0
- (2 0 -2), 2θ = 30.6°, rel. 32.7
- (2 2 -2), 2θ = 43.7°, rel. 35.9
- (0 2 4), 2θ = 53.9°, rel. 26.5
- (3 1 -1), 2θ = 54.1°, rel. 27.5



Calculated PXRD pattern
Compound: Na3Li3Mn2P2C2O14
Radiation: Cu Ka
Structure: a structure optimized by DFT (PBE+U)

```
Na3Li3Mn2P2C2O14
1.0
5.0793 0.0000 0.0000
0.0101 6.7196 0.0000
0.1513 0.0392 8.7584
Na Li Mn P C O
3 3 2 2 2 14
Direct
0.0000 0.0000 0.0000
0.0059 0.2451 0.3359
0.5002 0.5034 0.5041
0.0226 0.5233 0.9820
0.4754 0.0267 0.5245
0.5025 0.7479 0.1642
0.0259 0.7574 0.6112
0.4734 0.2568 0.8961
0.5454 0.7526 0.8455
0.9546 0.2538 0.6645
0.5155 0.2433 0.1990
0.9804 0.7431 0.2965
0.0281 0.4404 0.5670
0.0562 0.2690 0.8300
0.0746 0.0724 0.5777
0.2259 0.7476 0.3363
0.2870 0.2482 0.1353
0.4283 0.5727 0.9359
0.4390 0.7681 0.6799
0.4749 0.9368 0.9451
0.5339 0.2252 0.3468
0.6476 0.2316 0.6726
0.7260 0.2578 0.1133
0.7936 0.7616 0.3996
0.8517 0.7309 0.8322
0.9151 0.7216 0.1545
```

Main lines, by angle (10° ≤ 2θ ≤ 90°):
- (0 0 1), 2θ = 10.1°, rel. 89.2
- (0 2 0), 2θ = 26.5°, rel. 100.0
- (1 0 2), 2θ = 26.6°, rel. 30.7
- (0 2 2), 2θ = 33.5°, rel. 34.7
- (0 2 -2), 2θ = 33.7°, rel. 34.5
- (2 0 0), 2θ = 35.3°, rel. 46.5



Calculated PXRD pattern
Compound: Li4Mn5Fe2O12
Radiation: Cu Ka
Structure: a structure optimized by DFT (PBE+U)

```
Li4Mn5Fe2O12
1.0
5.1540 0.0000 0.0000
0.0000 9.2186 0.0000
-2.1998 0.0000 9.7970
Li Mn Fe O
8 10 4 24
Direct
0.0031 0.0000 0.2617
0.2388 0.1662 0.5073
0.4954 0.0169 0.7419
0.4956 0.1665 0.2638
0.5044 0.6665 0.7362
0.5046 0.5169 0.2581
0.7612 0.6662 0.4927
0.9969 0.5000 0.7383
0.9999 0.3326 0.2585
0.0001 0.8326 0.7415
0.2406 0.6662 0.9905
0.2543 0.5093 0.4898
0.2576 0.0016 0.0069
0.4873 0.3340 0.7429
0.5127 0.8340 0.2571
0.7424 0.5016 0.9931
0.7457 0.0093 0.5102
0.7594 0.1662 0.0095
0.2347 0.8308 0.4848
0.2445 0.3312 0.9947
0.7555 0.8312 0.0053
0.7653 0.3308 0.5152
0.1081 0.1816 0.1369
0.1143 0.9734 0.6207
0.1183 0.5073 0.0944
0.1307 0.3460 0.6251
0.1484 0.6670 0.6005
0.1612 0.8506 0.1218
0.3477 0.8204 0.8726
0.3566 0.3555 0.3724
0.3828 0.9982 0.3935
0.3912 0.4898 0.8679
0.3951 0.1557 0.9016
0.3982 0.6883 0.3741
0.6018 0.1883 0.6259
0.6049 0.6557 0.0984
0.6088 0.9898 0.1321
0.6172 0.4982 0.6065
0.6434 0.8555 0.6276
0.6523 0.3204 0.1274
0.8388 0.3506 0.8782
0.8516 0.1670 0.3995
0.8693 0.8460 0.3749
0.8817 0.0073 0.9056
0.8857 0.4734 0.3793
0.8919 0.6816 0.8631
```

Main lines, by angle (10° ≤ 2θ ≤ 90°):
- (0 0 2), 2θ = 18.1°, rel. 42.9
- (1 1 1), 2θ = 23.6°, rel. 33.0
- (2 0 -2), 2θ = 36.5°, rel. 33.4
- (1 3 -3), 2θ = 41.6°, rel. 100.0
- (2 0 2), 2θ = 43.9°, rel. 42.5
- (3 3 -1), 2θ = 61.9°, rel. 25.4